Structure and theoretical PXRD pattern of Pm2PrSm2Y6 (a crystal structure in Alexandria, relaxed with GGA-PBE; Cu Kα).
Intensities are scaled so that the largest is 100.

Main lines, low angle first (2θ = 15–90°):
- 2θ 30.57, rel. 59, (0 4 1)
- 2θ 31.02, rel. 41, (2 0 0)
- 2θ 31.84, rel. 100, (1 3 2)
- 2θ 33.77, rel. 18, (0 0 4)
- 2θ 44.15, rel. 19, (2 4 -1)
- 2θ 46.51, rel. 15, (2 0 4)
- 2θ 52.59, rel. 12, (0 4 5)
- 2θ 55.70, rel. 20, (3 3 2)
- 2θ 61.67, rel. 17, (1 7 3)
- 2θ 62.32, rel. 14, (2 4 5)

Atomic structure:
```
data_Pm2PrSm2Y6
_chemical_formula_sum 'Pm4 Pr2 Sm4 Y12'
_symmetry_space_group_name_H-M 'C 1 2/m 1'
_symmetry_Int_Tables_number 12
_symmetry_space_group_name_Hall '-C 2y'
_cell_length_a 5.766
_cell_length_b 12.148
_cell_length_c 10.617
_cell_angle_alpha 90.00
_cell_angle_beta 90.05
_cell_angle_gamma 90.00
loop_
_atom_site_label
_atom_site_type_symbol
_atom_site_fract_x
_atom_site_fract_y
_atom_site_fract_z
Pm1 Pm 0.000 0.207 0.000
Pr1 Pr 0.000 0.500 0.000
Sm1 Sm 0.000 0.132 0.500
Y1 Y 0.001 0.000 0.791
Y2 Y 0.001 0.348 0.701
```

=====

Structure and theoretical PXRD pattern of Li4PmSn4 (a crystal structure in Alexandria, relaxed with GGA-PBE; Cu Kα).
Intensities are scaled so that the largest is 100.

Main lines, low angle first (2θ = 15–90°):
- 2θ 16.43, rel. 17, (1 0 1)
- 2θ 18.81, rel. 26, (0 0 2)
- 2θ 26.92, rel. 30, (1 1 2)
- 2θ 28.76, rel. 100, (2 0 1)
- 2θ 31.53, rel. 30, (1 0 3)
- 2θ 31.88, rel. 37, (2 1 1)
- 2θ 39.66, rel. 31, (2 0 3)
- 2θ 43.40, rel. 49, (2 2 2)
- 2θ 58.08, rel. 21, (2 1 5)
- 2θ 64.11, rel. 16, (4 2 1)

Atomic structure:
```
data_Li4PmSn4
_chemical_formula_sum 'Li8 Pm2 Sn8'
_symmetry_space_group_name_H-M 'P 42/n m c'
_symmetry_Int_Tables_number 137
_cell_length_a 6.574
_cell_length_b 6.574
_cell_length_c 9.437
_cell_angle_alpha 90.00
_cell_angle_beta 90.00
_cell_angle_gamma 90.00
loop_
_symmetry_equiv_pos_as_xyz
'x,y,z'
'-x,-y,-z'
'-y+1/2,x,z+1/2'
'y+1/2,-x,-z+1/2'
'-x+1/2,-y+1/2,z'
'x+1/2,y+1/2,-z'
'y,-x+1/2,z+1/2'
'-y,x+1/2,-z+1/2'
'x+1/2,-y,-z'
'-x+1/2,y,z'
'-y,-x,-z+1/2'
'y,x,z+1/2'
'-x,y+1/2,-z'
'x,-y+1/2,z'
'y+1/2,x+1/2,-z+1/2'
'-y+1/2,-x+1/2,z+1/2'
loop_
_atom_site_label
_atom_site_type_symbol
_atom_site_fract_x
_atom_site_fract_y
_atom_site_fract_z
Li1 Li 0.020 0.250 0.169
Pm1 Pm 0.250 0.750 0.250
Sn1 Sn 0.030 0.250 0.463
```

=====

Structure and theoretical PXRD pattern of Y3Mg2Hg2 (a crystal structure in Alexandria, relaxed with GGA-PBE; Cu Kα).
Intensities are scaled so that the largest is 100.

Main lines, low angle first (2θ = 15–90°):
- 2θ 19.56, rel. 38, (1 1 0)
- 2θ 23.96, rel. 47, (1 1 -1)
- 2θ 32.46, rel. 25, (0 2 0)
- 2θ 32.57, rel. 79, (-1 1 1)
- 2θ 33.69, rel. 100, (1 0 2)
- 2θ 34.51, rel. 19, (0 2 1)
- 2θ 35.89, rel. 28, (0 2 -1)
- 2θ 36.09, rel. 44, (2 1 0)
- 2θ 43.01, rel. 18, (0 1 3)
- 2θ 51.81, rel. 20, (2 -1 1)

Atomic structure:
```
data_Y3Mg2Hg2
_chemical_formula_sum 'Y3 Mg2 Hg2'
_symmetry_space_group_name_H-M 'P -1'
_symmetry_Int_Tables_number 2
_symmetry_space_group_name_Hall '-P 1'
_cell_length_a 4.978
_cell_length_b 6.058
_cell_length_c 6.685
_cell_angle_alpha 87.12
_cell_angle_beta 89.85
_cell_angle_gamma 65.78
loop_
_atom_site_label
_atom_site_type_symbol
_atom_site_fract_x
_atom_site_fract_y
_atom_site_fract_z
Y1 Y 0.000 0.000 0.000
Y2 Y 0.383 0.233 0.314
Mg1 Mg 0.305 0.388 0.819
Hg1 Hg 0.122 0.758 0.419
```